This entry pairs a crystal structure of KLa2Ir with its simulated powder X-ray diffraction pattern. Radiation: copper Kα. Structure: DFT lattice parameters and positions (GGA-PBE).
No peak broadening, texture or thermal motion is included.

Structure:
Unit cell a=4.2666 b=4.2666 c=34.6036 alpha=90.00 beta=90.00 gamma=120.00
Space group R-3m (No. 166, hexagonal axes)
Unique sites:
K 0.0000 0.0000 0.0000 (multiplicity 3)
La 0.0000 0.0000 0.1239 (multiplicity 6)
Ir 0.0000 0.0000 0.5000 (multiplicity 3)

Main lines, most intense first (5° ≤ 2θ ≤ 70°):
2θ 7.66, 11.535 Å, I 100.0; 2θ 31.85, 2.809 Å, I 26.9; 2θ 27.36, 3.260 Å, I 18.9; 2θ 42.37, 2.133 Å, I 12.3; 2θ 24.64, 3.614 Å, I 11.2; 2θ 43.12, 2.098 Å, I 10.7; 2θ 15.36, 5.767 Å, I 9.9; 2θ 48.79, 1.866 Å, I 8.3; 2θ 37.55, 2.395 Å, I 7.3; 2θ 41.83, 2.160 Å, I 6.5; 2θ 53.97, 1.699 Å, I 6.0; 2θ 35.54, 2.526 Å, I 4.9

This entry pairs a crystal structure of Ac3Sc with its simulated powder X-ray diffraction pattern. Radiation: copper Kα. Structure: DFT lattice parameters and positions (GGA-PBE).
No peak broadening, texture or thermal motion is included.

Structure:
Unit cell a=3.9478 b=12.3915 c=6.4955 alpha=90.00 beta=90.00 gamma=90.00
Space group Imm2 (No. 44)
Unique sites:
Ac 0.0000 0.0000 0.0000 (multiplicity 2)
Ac 0.0000 0.2331 0.3773 (multiplicity 4)
Sc 0.0000 0.5000 0.0059 (multiplicity 2)

Main lines, most intense first (5° ≤ 2θ ≤ 70°):
2θ 30.16, 2.963 Å, I 100.0; 2θ 28.82, 3.098 Å, I 29.8; 2θ 31.09, 2.877 Å, I 27.8; 2θ 51.90, 1.762 Å, I 22.4; 2θ 27.46, 3.248 Å, I 20.3; 2θ 26.42, 3.374 Å, I 16.2; 2θ 56.88, 1.619 Å, I 15.5; 2θ 25.56, 3.485 Å, I 15.1; 2θ 47.92, 1.898 Å, I 14.4; 2θ 40.23, 2.242 Å, I 13.1; 2θ 15.40, 5.753 Å, I 11.6; 2θ 56.55, 1.628 Å, I 10.6

This entry pairs a crystal structure of LiAc2AlIn6 with its simulated powder X-ray diffraction pattern. Radiation: copper Kα. Structure: DFT lattice parameters and positions (GGA-PBE).
No peak broadening, texture or thermal motion is included.

Structure:
Unit cell a=7.1325 b=7.1325 c=37.4709 alpha=90.00 beta=90.00 gamma=120.00
Space group R-3m (No. 166, hexagonal axes)
Unique sites:
Li 0.0000 0.0000 0.0000 (multiplicity 3)
Li 0.0000 0.0000 0.5000 (multiplicity 3)
Ac 0.0000 0.0000 0.1097 (multiplicity 6)
Ac 0.0000 0.0000 0.2847 (multiplicity 6)
Al 0.0000 0.0000 0.4267 (multiplicity 6)
In 0.0350 0.5175 0.2982 (multiplicity 18)
In 0.0541 0.5270 0.8660 (multiplicity 18)

Main lines, most intense first (5° ≤ 2θ ≤ 70°):
2θ 31.33, 2.855 Å, I 100.0; 2θ 33.50, 2.675 Å, I 79.4; 2θ 28.59, 3.123 Å, I 39.5; 2θ 51.23, 1.783 Å, I 35.2; 2θ 29.31, 3.047 Å, I 32.2; 2θ 29.96, 2.983 Å, I 21.2; 2θ 59.72, 1.548 Å, I 20.9; 2θ 28.83, 3.097 Å, I 20.9; 2θ 27.85, 3.204 Å, I 19.1; 2θ 37.75, 2.383 Å, I 18.4; 2θ 50.78, 1.798 Å, I 18.3; 2θ 24.97, 3.566 Å, I 18.3

This entry pairs a crystal structure of Pu2Ni3Ge4Os with its simulated powder X-ray diffraction pattern. Radiation: copper Kα. Structure: DFT lattice parameters and positions (GGA-PBE).
No peak broadening, texture or thermal motion is included.

Structure:
Unit cell a=4.1163 b=4.1163 c=9.8623 alpha=90.00 beta=90.00 gamma=90.00
Space group P-4m2 (No. 115)
Unique sites:
Pu 0.0000 0.5000 0.2449 (multiplicity 2)
Ni 0.0000 0.5000 0.8762 (multiplicity 2)
Ni 0.5000 0.5000 0.5000 (multiplicity 1)
Ge 0.0000 0.0000 0.0000 (multiplicity 1)
Ge 0.0000 0.5000 0.6382 (multiplicity 2)
Ge 0.5000 0.5000 0.0000 (multiplicity 1)
Os 0.0000 0.0000 0.5000 (multiplicity 1)

Main lines, most intense first (5° ≤ 2θ ≤ 70°):
2θ 35.82, 2.507 Å, I 100.0; 2θ 34.93, 2.569 Å, I 56.5; 2θ 44.00, 2.058 Å, I 47.0; 2θ 23.42, 3.799 Å, I 29.2; 2θ 57.37, 1.606 Å, I 27.5; 2θ 51.37, 1.779 Å, I 22.4; 2θ 69.90, 1.346 Å, I 17.8; 2θ 63.97, 1.455 Å, I 15.3; 2θ 65.18, 1.431 Å, I 14.2; 2θ 30.72, 2.911 Å, I 11.3; 2θ 58.41, 1.580 Å, I 11.3; 2θ 36.44, 2.466 Å, I 10.5

This entry pairs a crystal structure of Pm3Cd2Co2 with its simulated powder X-ray diffraction pattern. Radiation: copper Kα. Structure: DFT lattice parameters and positions (GGA-PBE).
No peak broadening, texture or thermal motion is included.

Structure:
Unit cell a=3.8667 b=21.9170 c=3.9578 alpha=90.00 beta=90.00 gamma=90.00
Space group Cmmm (No. 65)
Unique sites:
Pm 0.0000 0.0000 0.0000 (multiplicity 2)
Pm 0.0000 0.1754 0.0000 (multiplicity 4)
Cd 0.0000 0.4117 0.5000 (multiplicity 4)
Co 0.0000 0.2752 0.5000 (multiplicity 4)

Main lines, most intense first (5° ≤ 2θ ≤ 70°):
2θ 32.63, 2.744 Å, I 100.0; 2θ 33.38, 2.684 Å, I 99.1; 2θ 30.84, 2.900 Å, I 54.6; 2θ 58.87, 1.569 Å, I 37.8; 2θ 36.94, 2.433 Å, I 31.4; 2θ 45.86, 1.979 Å, I 24.4; 2θ 47.00, 1.933 Å, I 22.7; 2θ 56.96, 1.617 Å, I 21.9; 2θ 56.28, 1.635 Å, I 19.8; 2θ 34.68, 2.587 Å, I 16.8; 2θ 67.76, 1.383 Å, I 14.7; 2θ 60.28, 1.535 Å, I 14.4

This entry pairs a crystal structure of Li2CaHo2Si2 with its simulated powder X-ray diffraction pattern. Radiation: copper Kα. Structure: DFT lattice parameters and positions (GGA-PBE).
No peak broadening, texture or thermal motion is included.

Structure:
Unit cell a=4.5169 b=4.5169 c=26.5627 alpha=90.00 beta=90.00 gamma=120.00
Space group R-3m (No. 166, hexagonal axes)
Unique sites:
Li 0.0000 0.0000 0.0940 (multiplicity 6)
Ca 0.0000 0.0000 0.5000 (multiplicity 3)
Ho 0.0000 0.0000 0.3715 (multiplicity 6)
Si 0.0000 0.0000 0.2462 (multiplicity 6)

Main lines, most intense first (5° ≤ 2θ ≤ 70°):
2θ 9.99, 8.854 Å, I 100.0; 2θ 22.98, 3.870 Å, I 85.8; 2θ 35.46, 2.531 Å, I 74.4; 2θ 39.92, 2.258 Å, I 57.7; 2θ 32.88, 2.724 Å, I 53.4; 2θ 26.44, 3.370 Å, I 47.6; 2θ 41.25, 2.188 Å, I 21.8; 2θ 54.45, 1.685 Å, I 21.4; 2θ 69.61, 1.351 Å, I 20.4; 2θ 28.33, 3.150 Å, I 18.8; 2θ 67.17, 1.394 Å, I 17.1; 2θ 52.65, 1.739 Å, I 13.9